1.
AsSeCl3F6: calculated X-ray diffraction stick pattern (a wavelength of 1.5418 Å), based on a DFT-relaxed cell (PBE, the Materials Project).
Kinematic intensities with the Lorentz-polarization factor, no thermal factor.

Cell and atoms:
a b c (Å): 7.893 9.612 12.202
angles (deg): 90.00 98.38 90.00
Space group P2_1/c (No. 14)
One atom of each set of equivalent atoms:
As  0.188  0.237  0.072
Se  0.187  0.679  0.695
Cl  0.215  0.613  0.258
Cl  0.284  0.562  0.840
Cl  0.402  0.673  0.606
F  0.017  0.715  0.002
F  0.100  0.071  0.101
F  0.122  0.197  0.695
F  0.244  0.168  0.947
F  0.272  0.099  0.544
F  0.387  0.186  0.146

Largest 12 diffraction maxima, by angle, 2θ from 10° to 90°:
- (1 0 0), 2θ = 11.33°, d 7.809, I 35
- (1 0 -2), 2θ = 17.21°, d 5.153, I 48
- (0 2 0), 2θ = 18.46°, d 4.806, I 71
- (1 1 -2), 2θ = 19.55°, d 4.541, I 52
- (1 0 2), 2θ = 19.87°, d 4.469, I 53
- (1 1 2), 2θ = 21.93°, d 4.054, I 100
- (2 0 0), 2θ = 22.77°, d 3.905, I 55
- (1 2 -2), 2θ = 25.33°, d 3.516, I 61
- (2 1 -2), 2θ = 26.97°, d 3.306, I 23
- (1 2 2), 2θ = 27.24°, d 3.273, I 28
- (1 3 0), 2θ = 30.15°, d 2.964, I 22
- (2 2 -6), 2θ = 51.58°, d 1.772, I 20

=====

2.
AsSe3Cl3F6: calculated X-ray diffraction stick pattern (a wavelength of 1.5418 Å), based on a DFT-relaxed cell (PBE, the Materials Project).
Kinematic intensities with the Lorentz-polarization factor, no thermal factor.

Cell and atoms:
a b c (Å): 12.628 8.117 12.406
angles (deg): 90.00 104.35 90.00
Space group P2_1/c (No. 14)
One atom of each set of equivalent atoms:
As  0.231  0.209  0.499
Se  0.146  0.586  0.228
Se  0.337  0.651  0.366
Se  0.393  0.629  0.791
Cl  0.035  0.672  0.323
Cl  0.145  0.708  0.622
Cl  0.482  0.722  0.670
F  0.111  0.091  0.454
F  0.165  0.167  0.080
F  0.185  0.154  0.883
F  0.277  0.071  0.614
F  0.297  0.087  0.417
F  0.351  0.172  0.044

Largest 12 diffraction maxima, by angle, 2θ from 10° to 90°:
- (2 0 0), 2θ = 14.48°, d 6.117, I 23
- (2 1 -1), 2θ = 18.18°, d 4.880, I 17
- (1 1 -2), 2θ = 18.36°, d 4.833, I 100
- (2 1 1), 2θ = 20.94°, d 4.242, I 18
- (1 1 2), 2θ = 21.08°, d 4.215, I 33
- (2 0 2), 2θ = 23.17°, d 3.838, I 42
- (1 2 -1), 2θ = 23.70°, d 3.754, I 35
- (3 1 0), 2θ = 24.43°, d 3.644, I 38
- (3 1 -2), 2θ = 25.63°, d 3.476, I 24
- (2 1 -3), 2θ = 25.82°, d 3.451, I 18
- (3 1 2), 2θ = 31.40°, d 2.849, I 21
- (3 2 -5), 2θ = 44.68°, d 2.028, I 21

=====

3.
GaHg3AsSCl4: calculated X-ray diffraction stick pattern (a wavelength of 1.5418 Å), based on a DFT-relaxed cell (PBE, the Materials Project).
Kinematic intensities with the Lorentz-polarization factor, no thermal factor.

Cell and atoms:
a b c (Å): 13.022 7.533 12.643
angles (deg): 90.00 90.15 90.00
Space group Cm (No. 8)
One atom of each set of equivalent atoms:
Ga  0.000  0.000  0.000
Ga  0.000  0.000  0.495
Hg  0.002  0.500  0.196
Hg  0.249  0.253  0.196
Hg  0.251  0.247  0.706
Hg  0.499  0.000  0.706
As  0.167  0.500  0.302
As  0.334  0.000  0.811
S  0.167  0.500  0.617
S  0.333  0.000  0.107
Cl  0.000  0.000  0.176
Cl  0.000  0.000  0.672
Cl  0.081  0.241  0.948
Cl  0.161  0.000  0.444
Cl  0.339  0.500  0.948
Cl  0.420  0.258  0.443

Largest 12 diffraction maxima, by angle, 2θ from 10° to 90°:
- (2 0 0), 2θ = 13.59°, d 6.518, I 12
- (0 0 2), 2θ = 14.01°, d 6.322, I 66
- (2 0 -2), 2θ = 19.56°, d 4.538, I 61
- (4 0 0), 2θ = 27.37°, d 3.259, I 64
- (0 0 4), 2θ = 28.24°, d 3.160, I 33
- (4 0 2), 2θ = 30.87°, d 2.897, I 100
- (3 1 4), 2θ = 37.15°, d 2.420, I 12
- (5 1 -2), 2θ = 39.24°, d 2.296, I 16
- (2 2 4), 2θ = 39.71°, d 2.270, I 47
- (6 2 0), 2θ = 48.38°, d 1.881, I 32
- (2 2 -6), 2θ = 51.64°, d 1.770, I 27
- (0 4 4), 2θ = 56.92°, d 1.618, I 15

=====

4.
GaHg3AsSCl4: calculated X-ray diffraction stick pattern (a wavelength of 1.5418 Å), based on a DFT-relaxed cell (PBE, the Materials Project).
Kinematic intensities with the Lorentz-polarization factor, no thermal factor.

Cell and atoms:
a b c (Å): 7.5181 7.5181 12.4283
angles (deg): 90.00 90.00 120.00
Space group P6_3mc (No. 186)
One atom of each set of equivalent atoms:
Ga  0.0000  0.0000  0.0000
Hg  0.0033  0.5017  0.2061
As  0.3333  0.6667  0.3134
S  0.3333  0.6667  0.6147
Cl  0.0000  0.0000  0.1794
Cl  0.1613  0.3227  0.9476

Largest 12 diffraction maxima, by angle, 2θ from 10° to 90°:
- (0 0 2), 2θ = 14.25°, d 6.214, I 63
- (1 0 2), 2θ = 19.75°, d 4.495, I 60
- (2 0 0), 2θ = 27.40°, d 3.255, I 65
- (0 0 4), 2θ = 28.73°, d 3.107, I 25
- (2 0 2), 2θ = 31.01°, d 2.884, I 100
- (2 1 2), 2θ = 39.38°, d 2.288, I 20
- (2 0 4), 2θ = 40.12°, d 2.248, I 58
- (2 2 0), 2θ = 48.43°, d 1.880, I 32
- (2 2 2), 2θ = 50.75°, d 1.799, I 17
- (2 0 6), 2θ = 52.35°, d 1.748, I 32
- (2 2 4), 2θ = 57.29°, d 1.608, I 21
- (4 0 2), 2θ = 58.63°, d 1.575, I 16

=====

5.
AsHPb4Cl4O4: calculated X-ray diffraction stick pattern (a wavelength of 1.5418 Å), based on a DFT-relaxed cell (PBE, the Materials Project).
Kinematic intensities with the Lorentz-polarization factor, no thermal factor.

Cell and atoms:
a b c (Å): 14.066 8.044 10.984
angles (deg): 90.00 102.65 90.00
Space group P2_1/c (No. 14)
One atom of each set of equivalent atoms:
As  0.201  0.051  0.152
H  0.201  0.745  0.807
Pb  0.055  0.740  0.486
Pb  0.186  0.091  0.847
Pb  0.332  0.745  0.554
Pb  0.414  0.222  0.630
Cl  0.002  0.059  0.279
Cl  0.218  0.055  0.561
Cl  0.409  0.103  0.374
Cl  0.420  0.564  0.343
O  0.102  0.057  0.012
O  0.199  0.698  0.389
O  0.203  0.673  0.661
O  0.300  0.059  0.064

Largest 12 diffraction maxima, by angle, 2θ from 10° to 90°:
- (0 2 0), 2θ = 22.07°, d 4.028, I 71
- (3 0 -2), 2θ = 22.62°, d 3.930, I 30
- (2 0 2), 2θ = 23.19°, d 3.836, I 30
- (0 2 2), 2θ = 27.75°, d 3.214, I 46
- (4 1 0), 2θ = 28.28°, d 3.156, I 100
- (3 2 0), 2θ = 29.56°, d 3.022, I 49
- (3 2 -2), 2θ = 31.84°, d 2.811, I 37
- (1 0 -4), 2θ = 32.63°, d 2.745, I 53
- (1 3 0), 2θ = 34.07°, d 2.631, I 31
- (1 1 -4), 2θ = 34.52°, d 2.598, I 36
- (3 1 4), 2θ = 44.21°, d 2.049, I 27
- (6 1 2), 2θ = 47.88°, d 1.900, I 33